# 1
For Zn6GaCu, the PBE geometry in Alexandria gives the simulated XRD peak list in this record (Cu Ka).
Lines closer than 0.1° are merged.

The 10 most intense peaks (2θ from 10° to 90°), sorted by position:
2θ (°)	I_rel
34.36	1.0
39.90	100.0
46.41	47.7
47.92	0.8
59.00	0.8
67.73	28.2
68.89	0.8
78.20	0.7
81.60	32.0
86.07	9.3

Atomic structure:
```
Zn6GaCu
1.0
3.9117 0.0000 0.0000
0.0000 3.9117 0.0000
0.0000 0.0000 7.8314
Zn Ga Cu
6 1 1
Direct
0.0000 0.0000 0.0000
0.0000 0.0000 0.5000
0.0000 0.5000 0.2369
0.0000 0.5000 0.7631
0.5000 0.0000 0.2369
0.5000 0.0000 0.7631
0.5000 0.5000 0.5000
0.5000 0.5000 0.0000
```



# 2
For Zn4GaCu15, the PBE geometry in Alexandria gives the simulated XRD peak list in this record (Cu Ka).
Lines closer than 0.1° are merged.

The 7 most intense peaks (2θ from 10° to 90°), sorted by position:
2θ (°)	I_rel
42.54	100.0
48.81	16.4
49.88	30.6
72.37	18.4
73.22	8.9
86.92	11.0
88.54	21.2

Atomic structure:
```
Zn4GaCu15
1.0
3.6563 0.0000 0.0000
0.0000 3.6563 0.0000
0.0000 0.0000 18.6563
Zn Ga Cu
4 1 15
Direct
0.0000 0.0000 0.0997
0.0000 0.0000 0.2997
0.0000 0.0000 0.7003
0.0000 0.0000 0.9003
0.0000 0.0000 0.5000
0.0000 0.5000 0.0000
0.0000 0.5000 0.1996
0.0000 0.5000 0.3997
0.0000 0.5000 0.6003
0.0000 0.5000 0.8004
0.5000 0.0000 0.0000
0.5000 0.0000 0.1996
0.5000 0.0000 0.3997
0.5000 0.0000 0.6003
0.5000 0.0000 0.8004
0.5000 0.5000 0.0998
0.5000 0.5000 0.2997
0.5000 0.5000 0.5000
0.5000 0.5000 0.7003
0.5000 0.5000 0.9002
```



# 3
For Zn7GaCu5, the PBE geometry in Alexandria gives the simulated XRD peak list in this record (Cu Ka).
Lines closer than 0.1° are merged.

The 10 most intense peaks (2θ from 10° to 90°), sorted by position:
2θ (°)	I_rel
35.79	29.0
36.17	16.7
41.39	73.6
41.48	15.9
41.83	100.0
42.08	16.2
46.63	75.8
46.88	16.7
47.48	44.6
75.84	17.2

Atomic structure:
```
Zn7GaCu5
1.0
4.9347 -4.3609 0.0000
4.9347 4.3609 0.0000
-2.3919 0.0000 4.3541
Zn Ga Cu
7 1 5
Direct
0.0000 0.0000 0.0000
0.0354 0.4314 0.2302
0.4314 0.0354 0.2302
0.5670 0.8832 0.7242
0.5695 0.5695 0.0663
0.8832 0.5670 0.7242
0.8873 0.8873 0.3914
0.2404 0.2404 0.7342
0.2282 0.7285 0.7299
0.2295 0.7331 0.2310
0.4646 0.4646 0.4630
0.7285 0.2282 0.7299
0.7331 0.2295 0.2310
```



# 4
For Zn2GaCu4, the PBE geometry in Alexandria gives the simulated XRD peak list in this record (Cu Ka).
Lines closer than 0.1° are merged.

The 10 most intense peaks (2θ from 10° to 90°), sorted by position:
2θ (°)	I_rel
36.40	26.1
36.62	51.3
36.88	44.4
40.29	70.0
40.76	72.0
41.79	48.7
41.91	46.9
46.77	100.0
47.05	99.6
58.66	26.4

Atomic structure:
```
Zn2GaCu4
1.0
0.0000 4.4766 2.4680
4.4273 0.0000 2.4680
4.4273 4.4766 0.0000
Zn Ga Cu
2 1 4
Direct
0.0000 0.0000 0.5000
0.5000 0.5000 0.0000
0.2489 0.2489 0.7511
0.5478 0.9523 0.4522
0.5514 0.9486 0.0514
0.9486 0.5514 0.4486
0.9523 0.5478 0.0477
```



# 5
For ZrGa6Cu6, the PBE geometry in Alexandria gives the simulated XRD peak list in this record (Cu Ka).
Lines closer than 0.1° are merged.

The 10 most intense peaks (2θ from 10° to 90°), sorted by position:
2θ (°)	I_rel
34.59	23.8
35.76	43.0
40.62	51.4
40.90	42.6
41.94	100.0
42.27	25.7
43.08	39.0
46.24	69.8
47.47	34.4
75.77	24.8

Atomic structure:
```
ZrGa6Cu6
1.0
-2.5930 4.1990 4.3041
2.5930 -4.1990 4.3041
2.5930 4.1990 -4.3041
Zr Ga Cu
1 6 6
Direct
0.0000 0.0000 0.0000
0.1705 0.6705 0.5000
0.3410 0.3410 0.0000
0.3457 0.0000 0.3457
0.6543 0.0000 0.6543
0.6590 0.6590 0.0000
0.8295 0.3295 0.5000
0.0000 0.0000 0.5000
0.0000 0.5000 0.0000
0.2431 0.5000 0.7431
0.5000 0.0000 0.0000
0.5000 0.5000 0.5000
0.7569 0.5000 0.2569
```



# 6
For ZrGaCu, the PBE geometry in Alexandria gives the simulated XRD peak list in this record (Cu Ka).
Lines closer than 0.1° are merged.

The 10 most intense peaks (2θ from 10° to 90°), sorted by position:
2θ (°)	I_rel
35.18	19.2
35.32	22.6
36.58	34.9
36.86	32.4
36.99	70.7
37.13	79.0
42.60	100.0
43.50	66.1
58.10	17.2
75.60	17.1

Atomic structure:
```
ZrGaCu
1.0
4.9154 -2.0803 0.0000
4.9154 2.0803 0.0000
-4.2946 0.0000 4.9132
Zr Ga Cu
2 2 2
Direct
0.0362 0.0362 0.2921
0.9638 0.9638 0.7079
0.3322 0.3322 0.8719
0.6678 0.6678 0.1281
0.3375 0.3375 0.2894
0.6625 0.6625 0.7106
```



# 7
For GdMgCuGe, the PBE geometry in Alexandria gives the simulated XRD peak list in this record (Cu Ka).
Lines closer than 0.1° are merged.

The 10 most intense peaks (2θ from 10° to 90°), sorted by position:
2θ (°)	I_rel
22.58	37.7
26.13	1.5
37.29	100.0
44.03	19.9
53.76	17.1
59.04	8.4
67.25	34.1
71.94	6.3
79.50	10.5
83.94	6.4

Atomic structure:
```
GdMgCuGe
1.0
0.0000 3.4101 3.4101
3.4101 0.0000 3.4101
3.4101 3.4101 0.0000
Gd Mg Cu Ge
1 1 1 1
Direct
0.0000 0.0000 0.0000
0.5000 0.5000 0.5000
0.2500 0.2500 0.2500
0.7500 0.7500 0.7500
```



# 8
For Gd2CuGe2O8, the PBE geometry in Alexandria gives the simulated XRD peak list in this record (Cu Ka).
Lines closer than 0.1° are merged.

The 10 most intense peaks (2θ from 10° to 90°), sorted by position:
2θ (°)	I_rel
18.04	29.5
24.52	38.8
27.50	100.0
28.44	91.6
31.75	88.3
34.12	92.8
34.54	42.0
43.17	35.9
47.01	44.3
48.21	42.8

Atomic structure:
```
Gd2CuGe2O8
1.0
4.8551 -7.6153 0.0000
4.8551 7.6153 0.0000
-2.6231 0.0000 4.4867
Gd Cu Ge O
4 2 4 16
Direct
0.1204 0.8796 0.0000
0.3813 0.6229 0.5388
0.6229 0.3813 0.5388
0.8796 0.1204 0.0000
0.0912 0.5045 0.8419
0.5045 0.0912 0.8419
0.2745 0.2745 0.8502
0.5345 0.9565 0.2893
0.7625 0.7625 0.2305
0.9565 0.5345 0.2893
0.0787 0.4209 0.1408
0.0941 0.0941 0.8644
0.1549 0.6730 0.6500
0.1931 0.3803 0.6554
0.3302 0.7955 0.2783
0.3803 0.1931 0.6554
0.4209 0.0787 0.1408
0.4303 0.4303 0.2321
0.5839 0.9280 0.9671
0.5969 0.5969 0.8642
0.6730 0.1549 0.6500
0.6730 0.8568 0.4525
0.7955 0.3302 0.2783
0.8568 0.6730 0.4525
0.9280 0.5839 0.9671
0.9334 0.9334 0.1885
```



# 9
For GdCuHg2, the PBE geometry in Alexandria gives the simulated XRD peak list in this record (Cu Ka).
Lines closer than 0.1° are merged.

The 10 most intense peaks (2θ from 10° to 90°), sorted by position:
2θ (°)	I_rel
19.24	7.9
28.43	6.5
34.56	100.0
39.06	18.0
40.64	32.2
57.63	23.1
58.82	10.9
67.88	14.2
70.05	25.9
72.89	11.6

Atomic structure:
```
GdCuHg2
1.0
4.4401 0.0000 0.0000
0.0000 4.4401 0.0000
0.0000 0.0000 4.6124
Gd Cu Hg
1 1 2
Direct
0.0000 0.0000 0.0000
0.5000 0.5000 0.0000
0.0000 0.5000 0.5000
0.5000 0.0000 0.5000
```



# 10
For GdCuI2, the PBE geometry in Alexandria gives the simulated XRD peak list in this record (Cu Ka).
Lines closer than 0.1° are merged.

The 10 most intense peaks (2θ from 10° to 90°), sorted by position:
2θ (°)	I_rel
25.50	100.0
26.10	90.0
28.92	34.9
30.04	20.2
36.33	82.9
41.40	65.1
44.56	64.0
54.00	36.5
58.80	20.1
77.67	24.1

Atomic structure:
```
GdCuI2
1.0
2.0332 1.1738 9.2611
-2.0332 1.1738 9.2611
0.0000 -2.3477 9.2611
Gd Cu I
1 1 2
Direct
0.0000 0.0000 0.0000
0.5000 0.5000 0.5000
0.1097 0.1097 0.1097
0.8903 0.8903 0.8903
```



# 11
For GdInCuPt, the PBE geometry in Alexandria gives the simulated XRD peak list in this record (Cu Ka).
Lines closer than 0.1° are merged.

The 9 most intense peaks (2θ from 10° to 90°), sorted by position:
2θ (°)	I_rel
22.65	13.5
37.40	100.0
44.17	7.4
53.93	17.3
59.22	3.3
67.47	34.8
72.17	2.5
79.77	10.9
84.23	2.7

Atomic structure:
```
GdInCuPt
1.0
0.0000 3.4004 3.4004
3.4004 0.0000 3.4004
3.4004 3.4004 0.0000
Gd In Cu Pt
1 1 1 1
Direct
0.0000 0.0000 0.0000
0.5000 0.5000 0.5000
0.2500 0.2500 0.2500
0.7500 0.7500 0.7500
```



# 12
For LaGdCu4Sn4, the PBE geometry in Alexandria gives the simulated XRD peak list in this record (Cu Ka).
Lines closer than 0.1° are merged.

The 10 most intense peaks (2θ from 10° to 90°), sorted by position:
2θ (°)	I_rel
32.04	59.5
32.92	100.0
40.43	65.1
44.28	20.8
46.92	25.8
52.49	29.6
58.51	21.9
63.63	20.6
68.79	23.5
84.12	13.4

Atomic structure:
```
LaGdCu4Sn4
1.0
4.4621 0.0000 0.0000
0.0000 4.4621 0.0000
0.0000 0.0000 10.7466
La Gd Cu Sn
1 1 4 4
Direct
0.0000 0.0000 0.0000
0.5000 0.5000 0.4765
0.0000 0.0000 0.6047
0.0000 0.5000 0.2446
0.5000 0.0000 0.2446
0.5000 0.5000 0.8786
0.0000 0.0000 0.3714
0.0000 0.5000 0.7383
0.5000 0.0000 0.7383
0.5000 0.5000 0.1161
```



# 13
For GdLuCuOs, the PBE geometry in Alexandria gives the simulated XRD peak list in this record (Cu Ka).
Lines closer than 0.1° are merged.

The 10 most intense peaks (2θ from 10° to 90°), sorted by position:
2θ (°)	I_rel
22.57	9.6
26.12	1.9
37.28	100.0
44.02	5.3
53.74	17.5
59.01	2.3
67.22	35.5
71.91	1.8
79.46	11.1
83.90	1.9

Atomic structure:
```
GdLuCuOs
1.0
0.0000 3.4114 3.4114
3.4114 0.0000 3.4114
3.4114 3.4114 0.0000
Gd Lu Cu Os
1 1 1 1
Direct
0.0000 0.0000 0.0000
0.5000 0.5000 0.5000
0.2500 0.2500 0.2500
0.7500 0.7500 0.7500
```



# 14
For NdGdMgCu, the PBE geometry in Alexandria gives the simulated XRD peak list in this record (Cu Ka).
Lines closer than 0.1° are merged.

The 10 most intense peaks (2θ from 10° to 90°), sorted by position:
2θ (°)	I_rel
24.03	32.8
34.24	100.0
42.26	10.0
49.20	17.8
55.47	13.9
61.30	36.3
72.13	11.1
77.28	6.8
82.32	15.5
87.31	4.2

Atomic structure:
```
NdGdMgCu
1.0
0.0000 3.7039 3.7039
3.7039 0.0000 3.7039
3.7039 3.7039 0.0000
Nd Gd Mg Cu
1 1 1 1
Direct
0.0000 0.0000 0.0000
0.5000 0.5000 0.5000
0.2500 0.2500 0.2500
0.7500 0.7500 0.7500
```